The following is a simulated X-ray powder pattern of KBeF3. It was derived from DFT lattice parameters and positions (PBE), using Cu Kα.
Kinematic intensities with the Lorentz-polarization factor, no thermal factor.

Main lines, by angle (2θ = 5–70°):
h k l  2θ (°)  d_spacing  Rel. int.
0 0 2  14.50  6.107  19
1 1 1  26.50  3.364  100
0 1 3  27.17  3.282  49
0 0 4  29.25  3.054  48
1 1 2  29.42  3.036  17
0 2 0  32.27  2.774  19
0 1 4  33.50  2.675  30
1 2 1  38.82  2.320  59
2 0 0  39.99  2.255  55
1 2 2  40.96  2.204  45
1 2 3  44.33  2.044  35
1 1 5  45.27  2.003  71

Crystal structure
```
20
Lattice="4.5094 0.0000 0.0000 0.0000 5.5478 0.0000 0.0000 0.0000 12.2141" Properties=species:S:1:pos:R:3 pbc="T T T"
K 0.9849 1.0194 4.3884
K 1.2699 4.5285 10.4955
K 3.2396 1.7546 7.8257
K 3.5246 3.7933 1.7186
Be 0.7004 4.4511 6.9596
Be 1.5543 1.0967 0.8525
Be 2.9551 3.8706 5.2545
Be 3.8090 1.6772 11.3615
F 0.8694 1.5554 11.6887
F 0.9997 0.3800 7.1989
F 1.0372 3.4832 8.0846
F 1.2175 2.0646 1.9776
F 1.2550 5.1679 1.0919
F 1.3853 3.9925 5.5817
F 3.1241 1.2185 0.5253
F 3.2544 2.3940 5.0152
F 3.2919 4.8385 4.1295
F 3.4722 0.7093 10.2365
F 3.5097 3.1539 11.1222
F 3.6400 4.3293 6.6324
```